This entry pairs a crystal structure of Sr2BiSbO6 with its calculated powder XRD pattern. Radiation: copper Kα. Structure: the GGA-PBE geometry in the Materials Project.

Crystal structure
```
data_Sr2BiSbO6
_chemical_formula_sum 'Sr8 Bi4 Sb4 O24'
_symmetry_space_group_name_H-M 'F m -3 m'
_symmetry_Int_Tables_number 225
_symmetry_space_group_name_Hall '-F 4 2 3'
_cell_length_a 8.5578
_cell_length_b 8.5578
_cell_length_c 8.5578
_cell_angle_alpha 90.00
_cell_angle_beta 90.00
_cell_angle_gamma 90.00
loop_
_atom_site_label
_atom_site_fract_x
_atom_site_fract_y
_atom_site_fract_z
Sr1 0.2500 0.2500 0.2500
Bi1 0.0000 0.0000 0.0000
Sb1 0.0000 0.0000 0.5000
O1 0.0000 0.0000 0.2663
```

Main lines, by intensity (5 to 70 degrees two-theta):
index, 2theta, Rel. int.
2 2 0, 29.52, 100
4 2 2, 52.38, 41
4 0 0, 42.24, 30
4 4 0, 61.27, 19
6 2 0, 69.46, 19
2 0 0, 20.76, 18
4 2 0, 47.51, 8
1 1 1, 17.95, 5